# 1
Simulated PXRD pattern of Cd2HRu for copper Kα, from a structure optimized by DFT (GGA-PBE).
Intensities are scaled so that the largest is 100.

Cell: 9.6134 9.6134 3.2530 Å, 90.00 90.00 90.00°
Atoms (fractional coordinates):
Cd: 0.0000 0.0000 0.0000
Cd: 0.0000 0.5000 0.0000
Cd: 0.2500 0.2500 0.7500
Cd: 0.2500 0.7500 0.2500
Cd: 0.5000 0.0000 0.5000
Cd: 0.5000 0.5000 0.5000
Cd: 0.7500 0.2500 0.7500
Cd: 0.7500 0.7500 0.2500
H: 0.0000 0.2500 0.8750
H: 0.0000 0.7500 0.1250
H: 0.5000 0.2500 0.6250
H: 0.5000 0.7500 0.3750
Ru: 0.0000 0.2500 0.3750
Ru: 0.0000 0.7500 0.6250
Ru: 0.5000 0.2500 0.1250
Ru: 0.5000 0.7500 0.8750

Principal peaks in the range 5 to 70 degrees two-theta, by intensity:
two_theta	I_rel
34.58	100
37.42	64
43.91	51
18.46	39
26.22	23
53.95	21
59.02	20
65.68	15
60.05	14
42.03	9

=====

# 2
Simulated PXRD pattern of Hg2GeSe4 for copper Kα, from a structure optimized by DFT (GGA-PBE).
Intensities are scaled so that the largest is 100.

Cell: 6.1568 6.1568 11.0066 Å, 90.00 90.00 90.00°
Atoms (fractional coordinates):
Hg: 0.0000 0.5000 0.2500
Hg: 0.0000 0.5000 0.7500
Hg: 0.5000 0.0000 0.2500
Hg: 0.5000 0.0000 0.7500
Ge: 0.0000 0.0000 0.0000
Ge: 0.5000 0.5000 0.5000
Se: 0.2437 0.2437 0.1028
Se: 0.2437 0.7563 0.8972
Se: 0.2563 0.2563 0.6028
Se: 0.2563 0.7437 0.3972
Se: 0.7437 0.2563 0.3972
Se: 0.7437 0.7437 0.6028
Se: 0.7563 0.2437 0.8972
Se: 0.7563 0.7563 0.1028

Principal peaks in the range 5 to 70 degrees two-theta, by intensity:
two_theta	I_rel
26.10	100
44.14	43
49.67	39
41.48	29
20.40	29
33.35	28
38.71	15
66.66	14
16.11	13
54.26	11

=====

# 3
Simulated PXRD pattern of ErScSb2O8 for copper Kα, from a structure optimized by DFT (GGA-PBE).
Intensities are scaled so that the largest is 100.

Cell: 6.5698 6.5698 6.5698 Å, 133.91 133.91 67.23°
Atoms (fractional coordinates):
Er: 0.0000 0.0000 0.0000
Sc: 0.2500 0.7500 0.5000
Sb: 0.5000 0.5000 0.0000
Sb: 0.7500 0.2500 0.5000
O: 0.0373 0.0797 0.4403
O: 0.2175 0.6633 0.0668
O: 0.3367 0.4035 0.5543
O: 0.4030 0.9627 0.0424
O: 0.5965 0.1507 0.9332
O: 0.6394 0.5970 0.5597
O: 0.8493 0.7825 0.4457
O: 0.9203 0.3606 0.9576

Principal peaks in the range 5 to 70 degrees two-theta, by intensity:
two_theta	I_rel
29.49	100
48.59	33
59.27	27
34.89	18
50.17	16
56.44	16
32.74	12
19.07	10
61.20	10
16.20	7

=====

# 4
Simulated PXRD pattern of Pm2NdOsO8 for copper Kα, from a structure optimized by DFT (GGA-PBE).
Intensities are scaled so that the largest is 100.

Cell: 5.1803 5.1803 7.0014 Å, 90.00 90.00 90.27°
Atoms (fractional coordinates):
Pm: 0.0000 0.0000 0.2499
Pm: 0.0000 0.0000 0.7501
Nd: 0.5000 0.5000 0.0000
Os: 0.5000 0.5000 0.5000
O: 0.1886 0.8114 0.0000
O: 0.2456 0.7544 0.5000
O: 0.3193 0.3193 0.2974
O: 0.3193 0.3193 0.7026
O: 0.6807 0.6807 0.2974
O: 0.6807 0.6807 0.7026
O: 0.7544 0.2456 0.5000
O: 0.8114 0.1886 0.0000

Principal peaks in the range 5 to 70 degrees two-theta, by intensity:
two_theta	I_rel
30.83	100
24.36	56
24.24	54
47.10	39
46.97	37
34.63	29
59.71	21
58.44	19
64.22	12
56.06	11

=====

# 5
Simulated PXRD pattern of Na5B7C3 for copper Kα, from a structure optimized by DFT (GGA-PBE).
Intensities are scaled so that the largest is 100.

Cell: 2.8941 2.8941 42.7157 Å, 90.00 90.00 120.00°
Atoms (fractional coordinates):
Na: 0.0000 0.0000 0.0000
Na: 0.0000 0.0000 0.0983
Na: 0.0000 0.0000 0.1970
Na: 0.0000 0.0000 0.2991
Na: 0.0000 0.0000 0.4013
Na: 0.0000 0.0000 0.5000
Na: 0.0000 0.0000 0.5987
Na: 0.0000 0.0000 0.7009
Na: 0.0000 0.0000 0.8030
Na: 0.0000 0.0000 0.9017
B: 0.3333 0.6667 0.1474
B: 0.3333 0.6667 0.2478
B: 0.3333 0.6667 0.3504
B: 0.3333 0.6667 0.5492
B: 0.3333 0.6667 0.6496
B: 0.3333 0.6667 0.7522
B: 0.3333 0.6667 0.9509
B: 0.6667 0.3333 0.0491
B: 0.6667 0.3333 0.2478
B: 0.6667 0.3333 0.3504
B: 0.6667 0.3333 0.4508
B: 0.6667 0.3333 0.6496
B: 0.6667 0.3333 0.7522
B: 0.6667 0.3333 0.8526
C: 0.3333 0.6667 0.0491
C: 0.3333 0.6667 0.4509
C: 0.3333 0.6667 0.8527
C: 0.6667 0.3333 0.1473
C: 0.6667 0.3333 0.5491
C: 0.6667 0.3333 0.9509

Principal peaks in the range 5 to 70 degrees two-theta, by intensity:
two_theta	I_rel
41.79	100
42.32	24
35.83	19
64.38	18
56.62	10
68.46	2
20.80	1
6.21	1

=====

# 6
Simulated PXRD pattern of LaTc4 for copper Kα, from a structure optimized by DFT (GGA-PBE).
Intensities are scaled so that the largest is 100.

Cell: 4.3574 4.3574 10.3178 Å, 90.00 90.00 90.00°
Atoms (fractional coordinates):
La: 0.0000 0.0000 0.0000
La: 0.5000 0.5000 0.5000
Tc: 0.0000 0.0000 0.3727
Tc: 0.0000 0.0000 0.6273
Tc: 0.0000 0.5000 0.2500
Tc: 0.0000 0.5000 0.7500
Tc: 0.5000 0.0000 0.2500
Tc: 0.5000 0.0000 0.7500
Tc: 0.5000 0.5000 0.1273
Tc: 0.5000 0.5000 0.8727

Principal peaks in the range 5 to 70 degrees two-theta, by intensity:
two_theta	I_rel
33.89	100
33.18	78
41.45	75
54.09	38
45.88	27
60.05	25
48.83	23
61.78	20
65.93	18
28.98	13

=====

# 7
Simulated PXRD pattern of La2PdO4 for copper Kα, from a structure optimized by DFT (GGA-PBE).
Intensities are scaled so that the largest is 100.

Cell: 7.1078 7.1078 5.7683 Å, 90.00 90.00 47.89°
Atoms (fractional coordinates):
La: 0.1542 0.1542 0.0000
La: 0.3458 0.3458 0.5000
La: 0.6542 0.6542 0.5000
La: 0.8458 0.8458 0.0000
Pd: 0.0000 0.0000 0.5000
Pd: 0.5000 0.5000 0.0000
O: 0.0077 0.4923 0.7500
O: 0.1949 0.8051 0.8051
O: 0.3051 0.6949 0.3051
O: 0.4923 0.0077 0.2500
O: 0.5077 0.9923 0.7500
O: 0.6949 0.3051 0.6949
O: 0.8051 0.1949 0.1949
O: 0.9923 0.5077 0.2500

Principal peaks in the range 5 to 70 degrees two-theta, by intensity:
two_theta	I_rel
30.10	100
54.59	39
31.00	35
44.42	23
52.87	19
62.56	10
41.71	9
64.62	7
41.89	7
69.01	6

=====

# 8
Simulated PXRD pattern of TlPb for copper Kα, from a structure optimized by DFT (GGA-PBE).
Intensities are scaled so that the largest is 100.

Cell: 3.5095 3.5095 11.8279 Å, 90.00 90.00 120.00°
Atoms (fractional coordinates):
Tl: 0.3333 0.6667 0.1273
Tl: 0.6667 0.3333 0.8727
Pb: 0.3333 0.6667 0.6222
Pb: 0.6667 0.3333 0.3778

Principal peaks in the range 5 to 70 degrees two-theta, by intensity:
two_theta	I_rel
33.14	100
30.22	28
55.57	23
61.44	23
29.39	23
52.12	19
42.66	17
63.17	16
69.55	4
62.86	4

=====

# 9
Simulated PXRD pattern of NaSrIn2Hg4 for copper Kα, from a structure optimized by DFT (GGA-PBE).
Intensities are scaled so that the largest is 100.

Cell: 9.2235 9.2235 9.2235 Å, 33.27 33.27 33.27°
Atoms (fractional coordinates):
Na: 0.0000 0.0000 0.0000
Sr: 0.5000 0.5000 0.5000
In: 0.2476 0.2476 0.2476
In: 0.7524 0.7524 0.7524
Hg: 0.1172 0.1172 0.1172
Hg: 0.3684 0.3684 0.3684
Hg: 0.6316 0.6316 0.6316
Hg: 0.8828 0.8828 0.8828

Principal peaks in the range 5 to 70 degrees two-theta, by intensity:
two_theta	I_rel
33.95	100
33.73	92
23.75	35
60.62	34
48.61	33
60.76	19
60.20	13
41.86	9
54.95	8
30.93	7

=====

# 10
Simulated PXRD pattern of Ac3LaSi6 for copper Kα, from a structure optimized by DFT (GGA-PBE).
Intensities are scaled so that the largest is 100.

Cell: 8.1539 8.1539 8.1539 Å, 98.74 98.74 98.74°
Atoms (fractional coordinates):
Ac: 0.1889 0.7500 0.3111
Ac: 0.2500 0.6889 0.8111
Ac: 0.3111 0.1889 0.7500
Ac: 0.6889 0.8111 0.2500
Ac: 0.7500 0.3111 0.1889
Ac: 0.8111 0.2500 0.6889
La: 0.0000 0.0000 0.0000
La: 0.5000 0.5000 0.5000
Si: 0.0155 0.0930 0.3963
Si: 0.0930 0.3963 0.0155
Si: 0.1037 0.4070 0.4845
Si: 0.3963 0.0155 0.0930
Si: 0.4070 0.4845 0.1037
Si: 0.4845 0.1037 0.4070
Si: 0.5155 0.8963 0.5930
Si: 0.5930 0.5155 0.8963
Si: 0.6037 0.9845 0.9070
Si: 0.8963 0.5930 0.5155
Si: 0.9070 0.6037 0.9845
Si: 0.9845 0.9070 0.6037

Principal peaks in the range 5 to 70 degrees two-theta, by intensity:
two_theta	I_rel
31.03	100
34.75	70
33.77	61
26.88	46
17.17	44
28.86	39
22.43	31
23.22	30
45.12	29
26.70	29